Entry 1:
Calculated powder X-ray diffraction pattern
Compound: Ba4AsPdBr2
Radiation: Cu Kα X-rays
Structure: a structure optimized by DFT (GGA-PBE)

Crystal structure
```
8
Lattice="8.2341 0.0000 0.0000 0.0000 4.7083 0.0000 -2.5273 0.0000 8.1044" Properties=species:S:1:pos:R:3 pbc="T T T"
Ba 1.4205 0.0000 1.7931
Ba 0.1221 2.3541 6.3956
Ba 5.5847 2.3541 1.7088
Ba 4.2864 0.0000 6.3113
As 4.1171 0.0000 0.0000
Pd 0.0000 2.3541 0.0000
Br -1.2636 0.0000 4.0522
Br 2.8534 2.3541 4.0522
```

Principal peaks in the range 10° ≤ 2θ ≤ 90°, in order of rising 2θ:
2θ = 26.11°, I = 100.0; 2θ = 26.48°, I = 47.1; 2θ = 37.10°, I = 32.9; 2θ = 37.96°, I = 38.2; 2θ = 38.23°, I = 18.9; 2θ = 47.11°, I = 19.2

Entry 2:
Calculated powder X-ray diffraction pattern
Compound: Mg2Co3
Radiation: Cu Kα X-rays
Structure: a structure optimized by DFT (GGA-PBE)

Crystal structure
```
10
Lattice="0.0000 6.9839 2.4863 4.2478 0.0000 2.4863 4.2478 6.9839 0.0000" Properties=species:S:1:pos:R:3 pbc="T T T"
Mg 4.9140 2.8358 2.4863
Mg 5.7055 6.3277 3.7294
Mg 3.5816 11.1320 2.4863
Mg 2.7901 7.6400 3.7294
Co 4.2478 6.9839 1.1349
Co 3.5791 5.2793 2.4770
Co 2.1239 3.4919 2.3780
Co 4.9165 8.6885 2.4770
Co 7.0404 8.7712 3.7201
Co 5.7030 12.1805 3.7201
```

Principal peaks in the range 10° ≤ 2θ ≤ 90°, in order of rising 2θ:
2θ = 21.66°, I = 100.0; 2θ = 38.44°, I = 66.4; 2θ = 41.51°, I = 63.3; 2θ = 44.15°, I = 49.1; 2θ = 44.59°, I = 28.8; 2θ = 49.88°, I = 28.7

Entry 3:
Calculated powder X-ray diffraction pattern
Compound: La2NpSe5
Radiation: Cu Kα X-rays
Structure: a structure optimized by DFT (GGA-PBE)

Crystal structure
```
16
Lattice="8.0910 0.0000 0.0000 0.0000 12.4564 0.0000 0.0000 0.0000 4.3019" Properties=species:S:1:pos:R:3 pbc="T T T"
La 0.3429 2.1561 0.0000
La 3.7026 8.3843 0.0000
La 4.3884 4.0721 0.0000
La 7.7481 10.3003 0.0000
Np 0.0000 6.2282 2.1509
Np 4.0455 0.0000 2.1509
Se 0.0000 0.0000 2.1509
Se 1.3568 8.7457 2.1509
Se 1.4134 5.1014 0.0000
Se 2.6321 11.3296 0.0000
Se 2.6886 2.5175 2.1509
Se 4.0455 6.2282 2.1509
Se 5.4023 9.9390 2.1509
Se 5.4589 1.1269 0.0000
Se 6.6776 7.3551 0.0000
Se 6.7341 3.7107 2.1509
```

Principal peaks in the range 10° ≤ 2θ ≤ 90°, in order of rising 2θ:
2θ = 24.09°, I = 44.3; 2θ = 24.50°, I = 40.2; 2θ = 31.19°, I = 42.4; 2θ = 33.64°, I = 100.0; 2θ = 35.59°, I = 45.6; 2θ = 43.44°, I = 36.7